The following is a computed X-ray powder pattern of KNa6Cd8. It was derived from a cell relaxed with GGA-PBE, using CuKα.
Neutral-atom scattering factors, no anomalous dispersion.

Structural model:
a = 8.8850 Å, b = 8.8850 Å, c = 18.6269 Å
α = 90.00°, β = 90.00°, γ = 120.00°
Space group R-3 (No. 148, hexagonal axes)
Inequivalent atoms, fractional coordinates:
1 K 0.0000 0.0000 0.0000 (multiplicity 3)
2 Na 0.0058 0.2277 0.6267 (multiplicity 18)
3 Cd 0.0000 0.0000 0.2239 (multiplicity 6)
4 Cd 0.0052 0.6821 0.8652 (multiplicity 18)

Largest 12 diffraction maxima, in order of rising 2θ, 10 to 80 degrees two-theta:
hkl	d [Å]	2θ/deg	Rel. int.
0 0 3	6.209	14.26	90.3
0 1 2	5.932	14.93	31.8
2 -1 3	3.613	24.64	63.6
0 2 4	2.966	30.13	18.4
3 0 0	2.565	34.98	100.0
2 -1 6	2.545	35.27	97.1
2 1 4	2.467	36.42	18.3
0 3 3	2.371	37.96	68.5
2 2 3	2.091	43.26	19.8
2 -1 9	1.876	48.53	26.4
2 2 6	1.806	50.52	20.9
5 -1 6	1.477	62.93	23.0

The following is a computed X-ray powder pattern of CrB6N6. It was derived from a cell relaxed with GGA-PBE, using CuKα.
Neutral-atom scattering factors, no anomalous dispersion.

Structural model:
a = 4.5589 Å, b = 4.5589 Å, c = 4.5589 Å
α = 90.00°, β = 90.00°, γ = 90.00°
Space group Pm-3 (No. 200)
Inequivalent atoms, fractional coordinates:
1 Cr 0.0000 0.0000 0.0000 (multiplicity 1)
2 B 0.0000 0.2435 0.5000 (multiplicity 6)
3 N 0.0000 0.5000 0.2520 (multiplicity 6)

Largest 12 diffraction maxima, in order of rising 2θ, 10 to 80 degrees two-theta:
hkl	d [Å]	2θ/deg	Rel. int.
1 0 0	4.559	19.47	100.0
1 1 0	3.224	27.67	1.6
1 1 1	2.632	34.06	29.3
2 0 0	2.279	39.54	45.9
2 0 1	2.039	44.44	46.9
2 1 1	1.861	48.94	87.4
2 2 1	1.520	60.97	17.7
3 1 0	1.442	64.65	1.3
3 1 1	1.375	68.23	9.8
2 2 2	1.316	71.72	2.7
3 2 0	1.264	75.14	7.2
3 1 2	1.218	78.50	34.4

The following is a computed X-ray powder pattern of Ta5Mo3. It was derived from a cell relaxed with GGA-PBE, using CuKα.
Neutral-atom scattering factors, no anomalous dispersion.

Structural model:
a = 3.2428 Å, b = 4.5673 Å, c = 18.6066 Å
α = 90.00°, β = 90.00°, γ = 90.00°
Space group Imm2 (No. 44)
Inequivalent atoms, fractional coordinates:
1 Ta 0.0000 0.0000 0.0000 (multiplicity 2)
2 Ta 0.0000 0.0000 0.2469 (multiplicity 2)
3 Ta 0.0000 0.0000 0.7456 (multiplicity 2)
4 Ta 0.0000 0.5000 0.1178 (multiplicity 2)
5 Ta 0.0000 0.5000 0.3722 (multiplicity 2)
6 Mo 0.0000 0.0000 0.4938 (multiplicity 2)
7 Mo 0.0000 0.5000 0.6223 (multiplicity 2)
8 Mo 0.0000 0.5000 0.8740 (multiplicity 2)

Largest 12 diffraction maxima, in order of rising 2θ, 10 to 80 degrees two-theta:
hkl	d [Å]	2θ/deg	Rel. int.
0 1 1	4.436	20.02	3.0
0 1 3	3.678	24.20	1.9
1 0 1	3.195	27.93	1.7
1 0 3	2.874	31.12	1.8
0 0 8	2.326	38.71	25.2
1 1 4	2.299	39.19	100.0
0 2 0	2.284	39.46	24.2
0 2 8	1.629	56.47	16.8
2 0 0	1.621	56.78	8.4
1 1 12	1.338	70.39	17.1
2 0 8	1.330	70.84	8.7
2 2 0	1.322	71.37	25.7

The following is a computed X-ray powder pattern of SbRuS2Cl. It was derived from a cell relaxed with GGA-PBE, using CuKα.
Neutral-atom scattering factors, no anomalous dispersion.

Structural model:
a = 4.6536 Å, b = 4.6536 Å, c = 4.7229 Å
α = 90.00°, β = 90.00°, γ = 90.00°
Space group P4/mmm (No. 123)
Inequivalent atoms, fractional coordinates:
1 Sb 0.0000 0.0000 0.0000 (multiplicity 1)
2 Ru 0.5000 0.5000 0.5000 (multiplicity 1)
3 S 0.0000 0.5000 0.5000 (multiplicity 2)
4 Cl 0.5000 0.5000 0.0000 (multiplicity 1)

Largest 12 diffraction maxima, in order of rising 2θ, 10 to 80 degrees two-theta:
hkl	d [Å]	2θ/deg	Rel. int.
1 0 1	3.315	26.90	100.0
1 1 0	3.291	27.10	52.0
1 1 1	2.700	33.18	23.7
0 0 2	2.361	38.11	29.5
2 0 0	2.327	38.70	56.3
1 1 2	1.919	47.39	22.7
2 1 1	1.904	47.76	42.4
2 0 2	1.657	55.44	37.5
2 2 0	1.645	55.88	18.3
2 2 2	1.350	69.65	18.6
2 1 3	1.256	75.76	10.7
3 1 2	1.249	76.23	10.7

The following is a computed X-ray powder pattern of K8Rb6Zn. It was derived from a cell relaxed with GGA-PBE, using CuKα.
Neutral-atom scattering factors, no anomalous dispersion.

Structural model:
a = 12.8214 Å, b = 12.8214 Å, c = 23.9676 Å
α = 90.00°, β = 90.00°, γ = 120.00°
Space group R-3 (No. 148, hexagonal axes)
Inequivalent atoms, fractional coordinates:
1 K 0.0000 0.0000 0.2421 (multiplicity 6)
2 K 0.0506 0.8108 0.9141 (multiplicity 18)
3 Rb 0.0352 0.7973 0.4131 (multiplicity 18)
4 Zn 0.0000 0.0000 0.0000 (multiplicity 3)

Largest 12 diffraction maxima, in order of rising 2θ, 10 to 80 degrees two-theta:
hkl	d [Å]	2θ/deg	Rel. int.
1 1 3	5.000	17.74	13.4
0 0 6	3.995	22.25	32.3
1 2 2	3.961	22.45	100.0
3 -1 4	3.437	25.92	92.1
1 2 8	2.438	36.86	34.3
4 1 0	2.423	37.10	33.9
3 -1 10	2.081	43.48	14.5
4 1 6	2.072	43.69	28.2
6 -2 2	2.067	43.81	16.7
2 4 4	1.980	45.82	17.3
4 1 12	1.541	60.03	14.2
7 0 4	1.533	60.36	14.2

The following is a computed X-ray powder pattern of CsTl2IrCl6. It was derived from a cell relaxed with GGA-PBE, using CuKα.
Neutral-atom scattering factors, no anomalous dispersion.

Structural model:
a = 7.0863 Å, b = 10.9136 Å, c = 9.2046 Å
α = 90.00°, β = 90.00°, γ = 90.00°
Space group Pmmn (No. 59, origin choice 2)
Inequivalent atoms, fractional coordinates:
1 Cs 0.2500 0.2500 0.1622 (multiplicity 2)
2 Tl 0.2500 0.0564 0.6560 (multiplicity 4)
3 Ir 0.2500 0.7500 0.3252 (multiplicity 2)
4 Cl 0.0112 0.7500 0.1464 (multiplicity 4)
5 Cl 0.0129 0.7500 0.5078 (multiplicity 4)
6 Cl 0.2500 0.5330 0.3249 (multiplicity 4)

Largest 12 diffraction maxima, in order of rising 2θ, 10 to 80 degrees two-theta:
hkl	d [Å]	2θ/deg	Rel. int.
0 1 1	7.036	12.58	51.3
0 1 2	4.241	20.95	29.3
1 2 1	3.913	22.72	100.0
2 0 0	3.543	25.13	36.4
1 3 0	3.236	27.56	19.5
1 3 1	3.053	29.25	26.4
0 4 0	2.728	32.83	20.7
2 1 2	2.719	32.94	41.6
2 0 3	2.319	38.83	24.0
1 3 3	2.227	40.51	37.3
3 2 1	2.110	42.86	18.6
2 5 2	1.723	53.15	25.6

The following is a computed X-ray powder pattern of Ce3Mg2Cd4. It was derived from a cell relaxed with GGA-PBE, using CuKα.
Neutral-atom scattering factors, no anomalous dispersion.

Structural model:
a = 11.0347 Å, b = 5.1782 Å, c = 9.5316 Å
α = 90.00°, β = 124.81°, γ = 90.00°
Space group C2/m (No. 12)
Inequivalent atoms, fractional coordinates:
1 Ce 0.0000 0.0000 0.0000 (multiplicity 2)
2 Ce 0.1681 0.5000 0.6692 (multiplicity 4)
3 Mg 0.1119 0.5000 0.2799 (multiplicity 4)
4 Cd 0.0552 0.0000 0.3875 (multiplicity 4)
5 Cd 0.2232 0.5000 0.0585 (multiplicity 4)

Largest 12 diffraction maxima, in order of rising 2θ, 10 to 80 degrees two-theta:
hkl	d [Å]	2θ/deg	Rel. int.
2 0 -1	5.517	16.06	6.4
2 0 -2	4.490	19.77	17.2
1 1 -2	3.480	25.60	4.5
1 1 2	2.609	34.38	100.0
0 2 0	2.590	34.63	93.4
2 0 -5	1.838	49.60	34.9
4 0 2	1.603	57.48	7.0
2 2 -5	1.499	61.90	35.4
6 0 -6	1.496	62.06	16.9
4 2 2	1.363	68.88	24.0
6 2 -6	1.295	73.04	6.7
0 4 0	1.295	73.10	3.4

The following is a computed X-ray powder pattern of K2ZnAu6. It was derived from a cell relaxed with GGA-PBE, using CuKα.
Neutral-atom scattering factors, no anomalous dispersion.

Structural model:
a = 5.6353 Å, b = 6.5308 Å, c = 6.8964 Å
α = 70.42°, β = 66.16°, γ = 89.65°
Space group P-1 (No. 2)
Inequivalent atoms, fractional coordinates:
1 K 0.1718 0.3159 0.1531 (multiplicity 2)
2 Zn 0.5000 0.0000 0.5000 (multiplicity 1)
3 Au 0.1746 0.2803 0.6443 (multiplicity 2)
4 Au 0.2794 0.9092 0.9468 (multiplicity 2)
5 Au 0.3268 0.7177 0.3577 (multiplicity 2)

Largest 12 diffraction maxima, in order of rising 2θ, 10 to 80 degrees two-theta:
hkl	d [Å]	2θ/deg	Rel. int.
0 1 1	5.297	16.74	100.0
0 1 2	3.128	28.53	15.6
0 2 0	3.042	29.36	13.1
2 0 0	2.548	35.22	25.7
2 0 2	2.533	35.44	20.7
2 -1 0	2.487	36.11	18.8
0 2 -1	2.372	37.93	14.7
0 1 -2	2.334	38.57	37.7
2 1 0	2.234	40.38	15.2
0 3 1	2.176	41.49	18.3
2 2 1	2.076	43.60	13.3
0 2 3	2.013	45.03	14.5

The following is a computed X-ray powder pattern of CdHg. It was derived from a cell relaxed with GGA-PBE, using CuKα.
Neutral-atom scattering factors, no anomalous dispersion.

Structural model:
a = 7.0265 Å, b = 4.5523 Å, c = 6.2471 Å
α = 90.00°, β = 90.00°, γ = 90.00°
Space group Pnma (No. 62)
Inequivalent atoms, fractional coordinates:
1 Cd 0.0948 0.2500 0.1317 (multiplicity 4)
2 Hg 0.1149 0.2500 0.6290 (multiplicity 4)

Largest 12 diffraction maxima, in order of rising 2θ, 10 to 80 degrees two-theta:
hkl	d [Å]	2θ/deg	Rel. int.
1 0 2	2.854	31.34	44.3
2 1 0	2.781	32.18	100.0
1 1 2	2.418	37.18	87.5
0 2 0	2.276	39.59	30.4
3 0 2	1.874	48.59	26.1
1 2 2	1.780	51.34	22.3
3 2 2	1.447	64.40	22.5
2 3 0	1.393	67.20	11.9
2 1 4	1.362	68.96	21.8
1 3 2	1.340	70.25	13.4
0 2 4	1.288	73.54	10.9
5 1 2	1.234	77.35	14.7

The following is a computed X-ray powder pattern of Ta5VC6. It was derived from a cell relaxed with GGA-PBE, using CuKα.
Neutral-atom scattering factors, no anomalous dispersion.

Structural model:
a = 5.4331 Å, b = 9.4353 Å, c = 5.4391 Å
α = 90.00°, β = 109.53°, γ = 90.00°
Space group C2/m (No. 12)
Inequivalent atoms, fractional coordinates:
1 Ta 0.0000 0.0000 0.0000 (multiplicity 2)
2 Ta 0.0000 0.1663 0.5000 (multiplicity 4)
3 Ta 0.0000 0.3355 0.0000 (multiplicity 4)
4 V 0.0000 0.5000 0.5000 (multiplicity 2)
5 C 0.2469 0.3348 0.7470 (multiplicity 8)
6 C 0.2469 0.5000 0.2520 (multiplicity 4)

Largest 12 diffraction maxima, in order of rising 2θ, 10 to 80 degrees two-theta:
hkl	d [Å]	2θ/deg	Rel. int.
0 0 1	5.126	17.30	2.8
1 1 0	4.501	19.73	4.0
1 1 -1	4.018	22.13	3.5
0 2 1	3.471	25.66	2.6
2 0 0	2.564	34.99	100.0
1 3 1	2.221	40.63	64.8
0 6 0	1.571	58.76	21.6
2 0 2	1.569	58.86	21.5
3 3 -3	1.340	70.26	24.3
3 3 1	1.338	70.36	17.2
2 6 -2	1.283	73.85	7.3
4 0 0	1.281	74.01	7.2

The following is a computed X-ray powder pattern of Pm8NdTh2. It was derived from a cell relaxed with GGA-PBE, using CuKα.
Neutral-atom scattering factors, no anomalous dispersion.

Structural model:
a = 9.1410 Å, b = 16.5593 Å, c = 6.0707 Å
α = 90.00°, β = 124.02°, γ = 90.00°
Space group C2/m (No. 12)
Inequivalent atoms, fractional coordinates:
1 Pm 0.0000 0.2067 0.0000 (multiplicity 4)
2 Pm 0.0766 0.5000 0.7927 (multiplicity 4)
3 Pm 0.2190 0.1184 0.6808 (multiplicity 8)
4 Nd 0.0000 0.0000 0.0000 (multiplicity 2)
5 Th 0.0000 0.3078 0.5000 (multiplicity 4)

Largest 12 diffraction maxima, in order of rising 2θ, 10 to 80 degrees two-theta:
hkl	d [Å]	2θ/deg	Rel. int.
1 1 1	3.335	26.73	14.1
0 4 1	3.197	27.91	13.6
2 0 -2	3.011	29.67	24.7
3 1 -1	2.990	29.89	43.9
1 5 -1	2.901	30.83	100.0
1 1 -2	2.883	31.02	13.5
2 2 -2	2.830	31.61	14.3
2 4 0	2.795	32.02	33.8
2 0 1	2.438	36.86	9.6
0 2 2	2.407	37.36	10.9
5 5 -1	1.544	59.90	12.5
4 8 -2	1.516	61.12	9.0

The following is a computed X-ray powder pattern of K2Pu2Te2S. It was derived from a cell relaxed with GGA-PBE, using CuKα.
Neutral-atom scattering factors, no anomalous dispersion.

Structural model:
a = 5.3384 Å, b = 5.3384 Å, c = 17.6008 Å
α = 90.00°, β = 90.00°, γ = 90.00°
Space group I4/mmm (No. 139)
Inequivalent atoms, fractional coordinates:
1 K 0.0000 0.0000 0.1810 (multiplicity 4)
2 Pu 0.0000 0.5000 0.0000 (multiplicity 4)
3 Te 0.0000 0.0000 0.3829 (multiplicity 4)
4 S 0.0000 0.0000 0.0000 (multiplicity 2)

Largest 12 diffraction maxima, in order of rising 2θ, 10 to 80 degrees two-theta:
hkl	d [Å]	2θ/deg	Rel. int.
0 0 2	8.800	10.05	100.0
1 1 2	3.469	25.68	47.1
0 0 6	2.937	30.44	23.6
1 1 4	2.865	31.22	64.7
2 0 0	2.669	33.58	38.7
2 0 2	2.554	35.13	22.2
1 1 6	2.316	38.88	14.7
2 0 6	1.975	45.95	20.5
2 2 0	1.887	48.22	14.0
2 0 8	1.698	54.01	12.8
3 1 2	1.658	55.42	11.9
3 1 4	1.576	58.57	22.3